1.
The following is a simulated XRD peak list of HfZr2UC4. It was derived from a cell relaxed with PBE, using a wavelength of 1.5418 Å.
Lines closer than 0.1° are merged.

Atomic structure:
```
8
Lattice="1.680 0.970 11.086 -1.680 0.970 11.086 0.000 -1.940 11.086" Properties=species:S:1:pos:R:3 pbc="T T T"
Hf 0.000 0.000 0.000
Zr 0.000 0.000 8.444
Zr 0.000 0.000 16.862
U 0.000 0.000 25.048
C 0.000 0.000 4.308
C 0.000 0.000 12.512
C 0.000 0.000 20.922
C 0.000 0.000 29.249
```

Principal peaks in the range 2θ from 10° to 90°, by angle:
2θ/deg  intensity
30.8  10
32.3  33
32.6  100
33.6  10
37.7  89
54.2  30
54.6  30
64.5  14
64.9  28
65.1  14
68.3  15
90.0  13

***

2.
The following is a simulated XRD peak list of ReO2. It was derived from a cell relaxed with PBE, using a wavelength of 1.5418 Å.
Lines closer than 0.1° are merged.

Atomic structure:
```
12
Lattice="5.603 0.000 0.000 0.000 4.881 0.000 -2.828 0.000 4.905" Properties=species:S:1:pos:R:3 pbc="T T T"
Re 0.683 0.022 1.076
Re -0.731 2.418 3.528
Re 3.506 2.463 1.377
Re 2.092 4.859 3.829
O -0.475 3.530 1.867
O -1.889 3.791 4.319
O 0.548 0.970 2.886
O 1.963 1.470 0.434
O 0.812 3.411 4.471
O 2.227 3.911 2.019
O 4.664 1.090 0.586
O 3.250 1.351 3.039
```

Principal peaks in the range 2θ from 10° to 90°, by angle:
2θ/deg  intensity
25.8  100
36.6  15
36.8  58
37.0  16
52.8  12
52.9  14
53.1  19
53.2  14
53.4  14
60.0  18
66.3  11
78.4  8

***

3.
The following is a simulated XRD peak list of KZnH5S2O10. It was derived from a cell relaxed with PBE, using a wavelength of 1.5418 Å.
Lines closer than 0.1° are merged.

Atomic structure:
```
19
Lattice="4.641 0.000 0.000 -0.561 5.840 0.000 -1.376 -2.058 7.927" Properties=species:S:1:pos:R:3 pbc="T T T"
K 0.000 0.000 0.000
Zn -0.690 -1.005 4.058
H -0.984 2.465 5.294
H 0.507 2.963 5.023
H 1.993 3.062 0.143
H 2.200 0.770 2.992
H 3.677 1.268 2.698
S 1.056 3.426 2.112
S 1.620 0.320 5.926
O -0.408 3.265 5.180
O 0.091 4.509 2.378
O 0.444 2.116 1.862
O 0.635 0.422 4.801
O 1.743 3.887 0.779
O 0.941 -0.084 7.203
O 2.074 3.336 3.179
O 2.261 1.637 6.102
O 2.603 -0.763 5.621
O 3.105 0.465 2.781
```

Principal peaks in the range 2θ from 10° to 90°, by angle:
2θ/deg  intensity
11.2  38
15.7  17
16.8  70
23.4  15
24.0  29
24.4  21
26.0  25
26.9  100
30.6  22
32.5  26
32.7  21
39.9  24

***

4.
The following is a simulated XRD peak list of NaTi2HO5. It was derived from a cell relaxed with PBE, using a wavelength of 1.5418 Å.
Lines closer than 0.1° are merged.

Atomic structure:
```
9
Lattice="3.053 0.000 0.000 -0.006 3.706 0.000 -0.557 -0.994 10.147" Properties=species:S:1:pos:R:3 pbc="T T T"
Na 0.000 0.000 0.000
Ti 0.632 2.688 6.390
Ti 2.185 0.836 4.136
H 1.192 1.784 1.230
O 0.653 0.834 3.101
O 0.641 0.835 5.758
O 1.572 1.872 0.333
O 2.173 2.688 4.764
O 2.162 2.685 7.432
```

Principal peaks in the range 2θ from 10° to 90°, by angle:
2θ/deg  intensity
17.5  95
24.9  71
26.4  85
26.5  100
28.5  67
31.3  39
33.5  55
35.2  56
38.7  55
40.9  58
49.4  78
53.6  35

***

5.
The following is a simulated XRD peak list of Ce3SnN. It was derived from a cell relaxed with PBE, using a wavelength of 1.5418 Å.
Lines closer than 0.1° are merged.

Atomic structure:
```
5
Lattice="4.895 0.000 0.000 0.000 4.895 0.000 0.000 0.000 4.895" Properties=species:S:1:pos:R:3 pbc="T T T"
Ce 0.000 0.000 2.448
Ce 0.000 2.448 0.000
Ce 2.448 0.000 0.000
Sn 2.448 2.448 2.448
N 0.000 0.000 0.000
```

Principal peaks in the range 2θ from 10° to 90°, by angle:
2θ/deg  intensity
18.1  1
31.7  100
36.7  56
52.9  39
63.0  43
66.1  13
78.1  6
86.7  18
89.5  18

***

6.
The following is a simulated XRD peak list of KHfMg6O7. It was derived from a cell relaxed with PBE, using a wavelength of 1.5418 Å.
Lines closer than 0.1° are merged.

Atomic structure:
```
15
Lattice="4.140 0.000 0.000 0.000 4.140 0.000 0.000 0.000 11.936" Properties=species:S:1:pos:R:3 pbc="T T T"
K 0.000 0.000 0.000
Hf 2.070 2.070 10.363
Mg 0.000 0.000 5.464
Mg 0.000 2.070 3.022
Mg 0.000 2.070 7.931
Mg 2.070 0.000 3.022
Mg 2.070 0.000 7.931
Mg 2.070 2.070 5.537
O 0.000 0.000 7.445
O 0.000 2.070 5.105
O 0.000 2.070 9.952
O 2.070 0.000 5.105
O 2.070 0.000 9.952
O 2.070 2.070 0.340
O 2.070 2.070 7.621
```

Principal peaks in the range 2θ from 10° to 90°, by angle:
2θ/deg  intensity
14.8  71
21.5  46
22.7  90
26.2  74
31.2  58
31.5  60
34.1  58
37.1  40
37.7  36
43.7  100
59.1  35
63.6  39

***

7.
The following is a simulated XRD peak list of In3Pt. It was derived from a cell relaxed with PBE, using a wavelength of 1.5418 Å.
Lines closer than 0.1° are merged.

Atomic structure:
```
4
Lattice="4.442 0.000 0.000 0.000 4.442 0.000 0.000 0.000 4.442" Properties=species:S:1:pos:R:3 pbc="T T T"
In 0.000 0.000 2.221
In 0.000 2.221 0.000
In 2.221 0.000 0.000
Pt 2.221 2.221 2.221
```

Principal peaks in the range 2θ from 10° to 90°, by angle:
2θ/deg  intensity
20.0  5
28.4  5
35.0  100
40.6  50
45.7  3
50.3  2
58.8  33
62.7  1
70.3  38
73.9  11
81.0  1
87.9  5

***

8.
The following is a simulated XRD peak list of HfTlCdF7. It was derived from a cell relaxed with PBE, using a wavelength of 1.5418 Å.
Lines closer than 0.1° are merged.

Atomic structure:
```
20
Lattice="3.448 -5.648 0.000 3.448 5.648 0.000 0.000 0.000 8.614" Properties=species:S:1:pos:R:3 pbc="T T T"
Hf 3.448 3.473 6.461
Hf 3.448 -3.473 2.154
Tl 3.448 0.000 0.000
Tl 3.448 0.000 4.307
Cd 3.448 3.492 2.154
Cd 3.448 -3.492 6.461
F 3.448 5.511 6.461
F 2.016 1.608 2.154
F 2.232 1.741 6.461
F 3.448 3.351 4.455
F 3.448 3.351 8.466
F 2.016 -1.608 6.461
F 2.232 -1.741 2.154
F 4.663 1.741 6.461
F 4.879 1.608 2.154
F 3.448 -3.351 0.148
F 3.448 -3.351 4.159
F 4.663 -1.741 2.154
F 4.879 -1.608 6.461
F 3.448 -5.511 2.154
```

Principal peaks in the range 2θ from 10° to 90°, by angle:
2θ/deg  intensity
25.6  100
25.8  68
26.0  82
27.0  99
37.0  54
42.0  30
45.4  30
46.3  33
47.3  48
49.9  23
50.6  36
64.2  24

***

9.
The following is a simulated XRD peak list of CaCo2P2. It was derived from a cell relaxed with PBE, using a wavelength of 1.5418 Å.
Lines closer than 0.1° are merged.

Atomic structure:
```
5
Lattice="-1.925 1.925 4.795 1.925 -1.925 4.795 1.925 1.925 -4.795" Properties=species:S:1:pos:R:3 pbc="T T T"
Ca 0.000 0.000 0.000
Co 1.925 0.000 2.397
Co 0.000 1.925 2.397
P 0.000 0.000 3.540
P 0.000 0.000 6.050
```

Principal peaks in the range 2θ from 10° to 90°, by angle:
2θ/deg  intensity
18.5  46
36.5  34
37.5  11
38.0  100
47.2  50
50.7  32
51.1  12
61.1  14
61.8  9
68.0  19
69.0  15
81.6  18

***

10.
The following is a simulated XRD peak list of Dy2ZnOs. It was derived from a cell relaxed with PBE, using a wavelength of 1.5418 Å.
Lines closer than 0.1° are merged.

Atomic structure:
```
4
Lattice="0.000 3.474 3.474 3.474 0.000 3.474 3.474 3.474 0.000" Properties=species:S:1:pos:R:3 pbc="T T T"
Dy 1.737 1.737 1.737
Dy 5.210 5.210 5.210
Zn 0.000 0.000 0.000
Os 3.474 3.474 3.474
```

Principal peaks in the range 2θ from 10° to 90°, by angle:
2θ/deg  intensity
22.2  9
25.6  1
36.6  100
43.2  5
52.7  18
57.9  2
59.5  1
65.9  36
70.4  2
77.8  11
82.1  2
89.2  16